Starting from DFT lattice parameters and positions (GGA-PBE), the powder diffraction line list of ErPa4C5 was simulated for Cu Kα, 1.54184 Å.
No peak broadening, texture or thermal motion is included.

Cell and atoms:
Unit cell a=3.604 b=5.061 c=17.976 alpha=90.00 beta=90.00 gamma=90.00
Space group Immm (No. 71)
Asymmetric unit:
Er  0.000  0.000  0.000 [2 per cell]
Pa  0.000  0.000  0.199 [4 per cell]
Pa  0.000  0.000  0.402 [4 per cell]
C  0.000  0.500  0.000 [2 per cell]
C  0.000  0.500  0.198 [4 per cell]
C  0.000  0.500  0.395 [4 per cell]

Peak list (12 most intense, 15 to 90 degrees two-theta, low angle first)
index  2theta  I_rel
1 1 0  30.47  100
1 0 5  35.26  42
0 2 0  35.48  21
2 0 0  50.66  8
1 2 5  50.87  37
2 1 5  60.34  31
1 3 0  60.62  15
2 2 0  63.36  8
0 2 10  63.48  8
2 3 5  82.83  10
2 2 10  85.38  10
1 4 5  85.76  7